[1]
Diffraction record for Tl2SnPb2. The PXRD pattern is computed, not measured: it uses a PBE-relaxed structure and Cu Ka.
No peak broadening, texture or thermal motion is included.

The 10 most intense peaks (10° ≤ 2θ ≤ 90°), most intense first:
| 2θ/deg | Rel. int. |
| --- | --- |
| 31.73 | 100 |
| 31.16 | 60 |
| 31.53 | 58 |
| 31.84 | 45 |
| 34.71 | 33 |
| 65.02 | 23 |
| 56.61 | 21 |
| 42.68 | 21 |
| 29.05 | 17 |
| 65.25 | 15 |

a = 5.644 Å, b = 3.311 Å, c = 8.703 Å
α = 90.00°, β = 108.15°, γ = 90.00°
Element x y z (fractional)
Tl1 0.105 0.000 0.204
Tl2 0.895 0.000 0.796
Sn1 0.500 0.500 0.000
Pb1 0.301 0.500 0.605
Pb2 0.699 0.500 0.395

[2]
Diffraction record for LaCdNiH6. The PXRD pattern is computed, not measured: it uses a PBE-relaxed structure and Cu Ka.
No peak broadening, texture or thermal motion is included.

The 10 most intense peaks (10° ≤ 2θ ≤ 90°), most intense first:
| 2θ/deg | Rel. int. |
| --- | --- |
| 29.50 | 100 |
| 38.48 | 45 |
| 56.37 | 30 |
| 49.22 | 24 |
| 64.15 | 21 |
| 39.55 | 14 |
| 65.64 | 10 |
| 83.13 | 9 |
| 89.90 | 9 |
| 69.60 | 8 |

a = 4.679 Å, b = 4.679 Å, c = 4.557 Å
α = 90.00°, β = 90.00°, γ = 120.00°
Element x y z (fractional)
La1 0.000 0.000 0.000
Cd1 0.333 0.667 0.500
Ni1 0.667 0.333 0.500
H1 0.525 0.050 0.224
H2 0.525 0.050 0.776
H3 0.525 0.475 0.224
H4 0.525 0.475 0.776
H5 0.950 0.475 0.224
H6 0.950 0.475 0.776

[3]
Diffraction record for Ba3UPd2Se6. The PXRD pattern is computed, not measured: it uses a PBE-relaxed structure and Cu Ka.
No peak broadening, texture or thermal motion is included.

The 10 most intense peaks (10° ≤ 2θ ≤ 90°), most intense first:
| 2θ/deg | Rel. int. |
| --- | --- |
| 34.28 | 100 |
| 22.72 | 99 |
| 10.75 | 61 |
| 25.32 | 54 |
| 46.41 | 54 |
| 41.51 | 41 |
| 13.06 | 37 |
| 28.48 | 31 |
| 35.29 | 26 |
| 48.63 | 24 |

a = 7.826 Å, b = 7.826 Å, c = 8.230 Å
α = 90.00°, β = 90.00°, γ = 120.00°
Element x y z (fractional)
Ba1 0.000 0.000 0.000
Ba2 0.333 0.667 0.608
Ba3 0.667 0.333 0.392
U1 0.000 0.000 0.500
Pd1 0.333 0.667 0.220
Pd2 0.667 0.333 0.780
Se1 0.159 0.318 0.298
Se2 0.159 0.841 0.298
Se3 0.318 0.159 0.702
Se4 0.682 0.841 0.298
Se5 0.841 0.159 0.702
Se6 0.841 0.682 0.702

[4]
Diffraction record for Nb7Ru3. The PXRD pattern is computed, not measured: it uses a PBE-relaxed structure and Cu Ka.
No peak broadening, texture or thermal motion is included.

The 10 most intense peaks (10° ≤ 2θ ≤ 90°), most intense first:
| 2θ/deg | Rel. int. |
| --- | --- |
| 40.21 | 100 |
| 39.88 | 78 |
| 36.07 | 73 |
| 75.27 | 33 |
| 42.88 | 32 |
| 49.07 | 22 |
| 33.47 | 21 |
| 36.91 | 21 |
| 66.50 | 18 |
| 45.53 | 18 |

a = 8.437 Å, b = 8.437 Å, c = 5.755 Å
α = 90.00°, β = 90.00°, γ = 120.00°
Element x y z (fractional)
Nb1 0.057 0.528 0.000
Nb2 0.122 0.244 0.259
Nb3 0.122 0.878 0.259
Nb4 0.244 0.122 0.759
Nb5 0.333 0.667 0.338
Nb6 0.472 0.528 0.000
Nb7 0.472 0.943 0.000
Nb8 0.528 0.057 0.500
Nb9 0.528 0.472 0.500
Nb10 0.667 0.333 0.838
Nb11 0.756 0.878 0.259
Nb12 0.878 0.122 0.759
Nb13 0.878 0.756 0.759
Nb14 0.943 0.472 0.500
Ru1 0.208 0.415 0.699
Ru2 0.208 0.792 0.699
Ru3 0.415 0.208 0.199
Ru4 0.585 0.792 0.699
Ru5 0.792 0.208 0.199
Ru6 0.792 0.585 0.199

[5]
Diffraction record for FeCo6. The PXRD pattern is computed, not measured: it uses a PBE-relaxed structure and Cu Ka.
No peak broadening, texture or thermal motion is included.

The 6 most intense peaks (10° ≤ 2θ ≤ 90°), most intense first:
| 2θ/deg | Rel. int. |
| --- | --- |
| 45.87 | 100 |
| 44.86 | 54 |
| 83.46 | 30 |
| 65.32 | 16 |
| 85.61 | 14 |
| 68.42 | 7 |

a = 2.857 Å, b = 2.857 Å, c = 19.197 Å
α = 90.00°, β = 90.00°, γ = 90.00°
Element x y z (fractional)
Fe1 0.000 0.000 0.000
Fe2 0.500 0.500 0.500
Co1 0.000 0.000 0.146
Co2 0.000 0.000 0.285
Co3 0.000 0.000 0.428
Co4 0.000 0.000 0.572
Co5 0.000 0.000 0.715
Co6 0.000 0.000 0.854
Co7 0.500 0.500 0.072
Co8 0.500 0.500 0.215
Co9 0.500 0.500 0.354
Co10 0.500 0.500 0.646
Co11 0.500 0.500 0.785
Co12 0.500 0.500 0.928

[6]
Diffraction record for TbPr4S7. The PXRD pattern is computed, not measured: it uses a PBE-relaxed structure and Cu Ka.
No peak broadening, texture or thermal motion is included.

The 10 most intense peaks (10° ≤ 2θ ≤ 90°), most intense first:
| 2θ/deg | Rel. int. |
| --- | --- |
| 23.20 | 100 |
| 23.62 | 90 |
| 31.82 | 68 |
| 26.62 | 44 |
| 32.97 | 43 |
| 30.23 | 43 |
| 25.29 | 39 |
| 40.74 | 38 |
| 45.76 | 33 |
| 23.46 | 32 |

a = 6.985 Å, b = 6.985 Å, c = 11.951 Å
α = 104.54°, β = 104.54°, γ = 32.98°
Element x y z (fractional)
Tb1 0.000 0.000 0.000
Pr1 0.112 0.112 0.419
Pr2 0.224 0.224 0.847
Pr3 0.414 0.414 0.615
Pr4 0.811 0.811 0.230
S1 0.071 0.071 0.637
S2 0.152 0.152 0.201
S3 0.380 0.380 0.070
S4 0.451 0.451 0.371
S5 0.607 0.607 0.925
S6 0.772 0.772 0.473
S7 0.855 0.855 0.779

[7]
Diffraction record for Pr3NpAg3Se8. The PXRD pattern is computed, not measured: it uses a PBE-relaxed structure and Cu Ka.
No peak broadening, texture or thermal motion is included.

The 10 most intense peaks (10° ≤ 2θ ≤ 90°), most intense first:
| 2θ/deg | Rel. int. |
| --- | --- |
| 30.37 | 100 |
| 41.72 | 41 |
| 45.20 | 33 |
| 52.47 | 21 |
| 12.69 | 15 |
| 69.13 | 12 |
| 74.16 | 10 |
| 78.56 | 8 |
| 63.13 | 8 |
| 13.99 | 8 |

a = 8.064 Å, b = 8.064 Å, c = 8.078 Å
α = 115.11°, β = 115.11°, γ = 64.98°
Element x y z (fractional)
Pr1 0.000 0.000 0.000
Pr2 0.000 0.500 0.500
Pr3 0.500 0.000 0.500
Np1 0.500 0.500 0.000
Ag1 0.000 0.500 0.000
Ag2 0.500 0.000 0.000
Ag3 0.500 0.500 0.500
Se1 0.253 0.253 0.248
Se2 0.258 0.258 0.762
Se3 0.258 0.737 0.242
Se4 0.263 0.742 0.758
Se5 0.737 0.258 0.242
Se6 0.742 0.263 0.758
Se7 0.742 0.742 0.238
Se8 0.747 0.747 0.752

[8]
Diffraction record for Sb3Rh. The PXRD pattern is computed, not measured: it uses a PBE-relaxed structure and Cu Ka.
No peak broadening, texture or thermal motion is included.

The 10 most intense peaks (10° ≤ 2θ ≤ 90°), most intense first:
| 2θ/deg | Rel. int. |
| --- | --- |
| 30.16 | 100 |
| 43.17 | 40 |
| 35.85 | 33 |
| 49.60 | 28 |
| 47.53 | 27 |
| 57.33 | 17 |
| 67.82 | 17 |
| 88.53 | 14 |
| 18.94 | 14 |
| 45.39 | 10 |

a = 8.116 Å, b = 8.116 Å, c = 8.116 Å
α = 109.47°, β = 109.47°, γ = 109.47°
Element x y z (fractional)
Sb1 0.155 0.340 0.495
Sb2 0.155 0.660 0.815
Sb3 0.185 0.845 0.340
Sb4 0.340 0.185 0.845
Sb5 0.340 0.495 0.155
Sb6 0.495 0.155 0.340
Sb7 0.505 0.845 0.660
Sb8 0.660 0.505 0.845
Sb9 0.660 0.815 0.155
Sb10 0.815 0.155 0.660
Sb11 0.845 0.340 0.185
Sb12 0.845 0.660 0.505
Rh1 0.000 0.000 0.500
Rh2 0.000 0.500 0.000
Rh3 0.500 0.000 0.000
Rh4 0.500 0.500 0.500

[9]
Diffraction record for Na2BC4. The PXRD pattern is computed, not measured: it uses a PBE-relaxed structure and Cu Ka.
No peak broadening, texture or thermal motion is included.

The 10 most intense peaks (10° ≤ 2θ ≤ 90°), most intense first:
| 2θ/deg | Rel. int. |
| --- | --- |
| 32.45 | 100 |
| 33.62 | 82 |
| 45.26 | 73 |
| 48.28 | 73 |
| 36.82 | 46 |
| 59.38 | 33 |
| 44.76 | 28 |
| 67.94 | 26 |
| 14.58 | 24 |
| 70.67 | 19 |

a = 3.770 Å, b = 3.770 Å, c = 12.150 Å
α = 90.00°, β = 90.00°, γ = 90.00°
Element x y z (fractional)
Na1 0.000 0.000 0.163
Na2 0.000 0.000 0.837
Na3 0.500 0.500 0.337
Na4 0.500 0.500 0.663
B1 0.000 0.000 0.500
B2 0.500 0.500 0.000
C1 0.000 0.000 0.378
C2 0.000 0.000 0.622
C3 0.000 0.500 0.000
C4 0.000 0.500 0.500
C5 0.500 0.000 0.000
C6 0.500 0.000 0.500
C7 0.500 0.500 0.122
C8 0.500 0.500 0.878